Theoretical X-ray diffraction stick pattern of Ca2YTiO5 for Cu Kα, 1.54184 Å, from a GGA-PBE-relaxed structure.
Peak positions follow from Bragg's law for the DFT cell and can differ from measured ones.

Main lines, by angle (2θ = 10–80°):
- 2θ = 25.0°, d = 3.560 Å, intensity 25
- 2θ = 31.3°, d = 2.856 Å, intensity 38
- 2θ = 31.7°, d = 2.823 Å, intensity 100
- 2θ = 32.4°, d = 2.763 Å, intensity 42
- 2θ = 45.7°, d = 1.986 Å, intensity 38
- 2θ = 51.0°, d = 1.792 Å, intensity 24
- 2θ = 56.0°, d = 1.642 Å, intensity 26
- 2θ = 57.4°, d = 1.607 Å, intensity 21

Atomic structure:
Unit cell a=8.956 b=8.956 c=8.956 alpha=52.68 beta=142.81 gamma=144.06
Atoms (fractional coordinates):
Ca 0.030 0.100 0.130
Ca 0.030 0.400 0.430
Ca 0.970 0.600 0.570
Ca 0.970 0.900 0.870
Y 0.425 0.720 0.206
Y 0.514 0.220 0.794
Ti 0.526 0.026 0.500
Ti 0.526 0.526 0.000
O 0.029 0.290 0.769
O 0.029 0.760 0.238
O 0.153 0.820 0.834
O 0.487 0.195 0.550
O 0.487 0.437 0.791
O 0.521 0.260 0.231
O 0.521 0.790 0.762
O 0.645 0.695 0.209
O 0.645 0.937 0.450
O 0.986 0.320 0.166

Theoretical X-ray diffraction stick pattern of CaYb4Ti2O10 for Cu Kα, 1.54184 Å, from a GGA-PBE-relaxed structure.
Peak positions follow from Bragg's law for the DFT cell and can differ from measured ones.

Main lines, by angle (2θ = 10–80°):
- 2θ = 18.4°, d = 4.827 Å, intensity 87
- 2θ = 18.6°, d = 4.769 Å, intensity 59
- 2θ = 29.9°, d = 2.991 Å, intensity 100
- 2θ = 30.9°, d = 2.897 Å, intensity 87
- 2θ = 31.3°, d = 2.858 Å, intensity 86
- 2θ = 31.7°, d = 2.826 Å, intensity 87
- 2θ = 31.9°, d = 2.803 Å, intensity 72
- 2θ = 32.2°, d = 2.777 Å, intensity 56

Atomic structure:
Unit cell a=5.610 b=5.681 c=8.716 alpha=103.61 beta=92.43 gamma=119.07
Atoms (fractional coordinates):
Ca 0.000 0.000 0.000
Yb 0.162 0.275 0.414
Yb 0.305 0.577 0.823
Yb 0.374 0.794 0.228
Yb 0.614 0.155 0.645
Ti 0.696 0.366 0.075
Ti 0.903 0.775 0.570
O 0.014 0.512 0.607
O 0.038 0.618 0.998
O 0.043 0.080 0.747
O 0.214 0.917 0.456
O 0.406 0.205 0.200
O 0.548 0.520 0.623
O 0.560 0.064 0.893
O 0.580 0.625 0.044
O 0.723 0.897 0.437
O 0.958 0.334 0.206

Theoretical X-ray diffraction stick pattern of Ca2TiZnO5 for Cu Kα, 1.54184 Å, from a GGA-PBE-relaxed structure.
Peak positions follow from Bragg's law for the DFT cell and can differ from measured ones.

Main lines, by angle (2θ = 10–80°):
- 2θ = 31.6°, d = 2.829 Å, intensity 100
- 2θ = 34.1°, d = 2.627 Å, intensity 88
- 2θ = 34.7°, d = 2.583 Å, intensity 59
- 2θ = 35.1°, d = 2.554 Å, intensity 50
- 2θ = 39.6°, d = 2.278 Å, intensity 62
- 2θ = 44.0°, d = 2.056 Å, intensity 42
- 2θ = 50.2°, d = 1.816 Å, intensity 42
- 2θ = 58.7°, d = 1.572 Å, intensity 57

Atomic structure:
Unit cell a=6.974 b=6.974 c=10.217 alpha=90.00 beta=90.00 gamma=153.94
Atoms (fractional coordinates):
Ca 0.116 0.884 0.500
Ca 0.125 0.875 0.059
Ca 0.875 0.125 0.559
Ca 0.884 0.116 0.000
Ti 0.228 0.772 0.797
Ti 0.772 0.228 0.297
Zn 0.486 0.514 0.262
Zn 0.514 0.486 0.762
O 0.083 0.917 0.826
O 0.277 0.723 0.430
O 0.281 0.719 0.171
O 0.367 0.633 0.812
O 0.500 0.500 0.070
O 0.500 0.500 0.570
O 0.633 0.367 0.312
O 0.719 0.281 0.671
O 0.723 0.277 0.930
O 0.917 0.083 0.326

Theoretical X-ray diffraction stick pattern of Ca2Tl2O5 for Cu Kα, 1.54184 Å, from a GGA-PBE-relaxed structure.
Peak positions follow from Bragg's law for the DFT cell and can differ from measured ones.

Main lines, by angle (2θ = 10–80°):
- 2θ = 13.0°, d = 6.809 Å, intensity 100
- 2θ = 20.4°, d = 4.363 Å, intensity 49
- 2θ = 28.1°, d = 3.173 Å, intensity 36
- 2θ = 30.4°, d = 2.942 Å, intensity 39
- 2θ = 30.6°, d = 2.921 Å, intensity 86
- 2θ = 31.5°, d = 2.841 Å, intensity 32
- 2θ = 36.1°, d = 2.490 Å, intensity 43
- 2θ = 37.9°, d = 2.374 Å, intensity 40

Atomic structure:
Unit cell a=5.933 b=5.933 c=13.618 alpha=90.00 beta=90.00 gamma=146.63
Atoms (fractional coordinates):
Ca 0.031 0.969 0.500
Ca 0.216 0.784 0.851
Ca 0.784 0.216 0.351
Ca 0.969 0.031 0.000
Tl 0.238 0.762 0.125
Tl 0.488 0.512 0.743
Tl 0.512 0.488 0.243
Tl 0.762 0.238 0.625
O 0.125 0.875 0.684
O 0.162 0.838 0.277
O 0.329 0.671 0.989
O 0.410 0.590 0.596
O 0.428 0.572 0.385
O 0.572 0.428 0.885
O 0.590 0.410 0.096
O 0.671 0.329 0.489
O 0.838 0.162 0.777
O 0.875 0.125 0.184

Theoretical X-ray diffraction stick pattern of Ca3Tl4O9 for Cu Kα, 1.54184 Å, from a GGA-PBE-relaxed structure.
Peak positions follow from Bragg's law for the DFT cell and can differ from measured ones.

Main lines, by angle (2θ = 10–80°):
- 2θ = 14.6°, d = 6.070 Å, intensity 100
- 2θ = 19.2°, d = 4.633 Å, intensity 50
- 2θ = 27.5°, d = 3.245 Å, intensity 45
- 2θ = 30.2°, d = 2.961 Å, intensity 70
- 2θ = 30.3°, d = 2.949 Å, intensity 98
- 2θ = 31.7°, d = 2.825 Å, intensity 51
- 2θ = 35.6°, d = 2.519 Å, intensity 52
- 2θ = 63.1°, d = 1.472 Å, intensity 35

Atomic structure:
Unit cell a=5.901 b=5.901 c=12.455 alpha=102.34 beta=102.34 gamma=33.45
Atoms (fractional coordinates):
Ca 0.000 0.000 0.000
Ca 0.096 0.096 0.579
Ca 0.793 0.793 0.163
Tl 0.314 0.314 0.418
Tl 0.396 0.396 0.729
Tl 0.554 0.554 0.289
Tl 0.698 0.698 0.854
O 0.044 0.044 0.782
O 0.190 0.190 0.246
O 0.355 0.355 0.894
O 0.430 0.430 0.130
O 0.451 0.451 0.571
O 0.643 0.643 0.007
O 0.677 0.677 0.453
O 0.738 0.738 0.689
O 0.928 0.928 0.351

Theoretical X-ray diffraction stick pattern of Ca4Tl3O9 for Cu Kα, 1.54184 Å, from a GGA-PBE-relaxed structure.
Peak positions follow from Bragg's law for the DFT cell and can differ from measured ones.

Main lines, by angle (2θ = 10–80°):
- 2θ = 14.7°, d = 6.046 Å, intensity 100
- 2θ = 19.1°, d = 4.658 Å, intensity 40
- 2θ = 27.5°, d = 3.244 Å, intensity 42
- 2θ = 30.1°, d = 2.969 Å, intensity 57
- 2θ = 30.5°, d = 2.935 Å, intensity 64
- 2θ = 30.6°, d = 2.922 Å, intensity 53
- 2θ = 35.7°, d = 2.514 Å, intensity 42
- 2θ = 37.9°, d = 2.376 Å, intensity 55

Atomic structure:
Unit cell a=5.887 b=5.887 c=12.369 alpha=101.63 beta=101.63 gamma=33.51
Atoms (fractional coordinates):
Ca 0.045 0.045 0.283
Ca 0.261 0.261 0.127
Ca 0.739 0.739 0.873
Ca 0.955 0.955 0.717
Tl 0.351 0.351 0.437
Tl 0.500 0.500 0.000
Tl 0.649 0.649 0.563
O 0.000 0.000 0.500
O 0.125 0.125 0.945
O 0.308 0.308 0.601
O 0.376 0.376 0.836
O 0.405 0.405 0.285
O 0.595 0.595 0.715
O 0.624 0.624 0.164
O 0.692 0.692 0.399
O 0.875 0.875 0.055

Copy entry 1 word for word.
Theoretical X-ray diffraction stick pattern of Ca2YTiO5 for Cu Kα, 1.54184 Å, from a GGA-PBE-relaxed structure.
Peak positions follow from Bragg's law for the DFT cell and can differ from measured ones.

Main lines, by angle (2θ = 10–80°):
- 2θ = 25.0°, d = 3.560 Å, intensity 25
- 2θ = 31.3°, d = 2.856 Å, intensity 38
- 2θ = 31.7°, d = 2.823 Å, intensity 100
- 2θ = 32.4°, d = 2.763 Å, intensity 42
- 2θ = 45.7°, d = 1.986 Å, intensity 38
- 2θ = 51.0°, d = 1.792 Å, intensity 24
- 2θ = 56.0°, d = 1.642 Å, intensity 26
- 2θ = 57.4°, d = 1.607 Å, intensity 21

Atomic structure:
Unit cell a=8.956 b=8.956 c=8.956 alpha=52.68 beta=142.81 gamma=144.06
Atoms (fractional coordinates):
Ca 0.030 0.100 0.130
Ca 0.030 0.400 0.430
Ca 0.970 0.600 0.570
Ca 0.970 0.900 0.870
Y 0.425 0.720 0.206
Y 0.514 0.220 0.794
Ti 0.526 0.026 0.500
Ti 0.526 0.526 0.000
O 0.029 0.290 0.769
O 0.029 0.760 0.238
O 0.153 0.820 0.834
O 0.487 0.195 0.550
O 0.487 0.437 0.791
O 0.521 0.260 0.231
O 0.521 0.790 0.762
O 0.645 0.695 0.209
O 0.645 0.937 0.450
O 0.986 0.320 0.166

Question: Number 4 is which compound?
Answer: Ca2Tl2O5

Repeat the second record exactly.
Theoretical X-ray diffraction stick pattern of CaYb4Ti2O10 for Cu Kα, 1.54184 Å, from a GGA-PBE-relaxed structure.
Peak positions follow from Bragg's law for the DFT cell and can differ from measured ones.

Main lines, by angle (2θ = 10–80°):
- 2θ = 18.4°, d = 4.827 Å, intensity 87
- 2θ = 18.6°, d = 4.769 Å, intensity 59
- 2θ = 29.9°, d = 2.991 Å, intensity 100
- 2θ = 30.9°, d = 2.897 Å, intensity 87
- 2θ = 31.3°, d = 2.858 Å, intensity 86
- 2θ = 31.7°, d = 2.826 Å, intensity 87
- 2θ = 31.9°, d = 2.803 Å, intensity 72
- 2θ = 32.2°, d = 2.777 Å, intensity 56

Atomic structure:
Unit cell a=5.610 b=5.681 c=8.716 alpha=103.61 beta=92.43 gamma=119.07
Atoms (fractional coordinates):
Ca 0.000 0.000 0.000
Yb 0.162 0.275 0.414
Yb 0.305 0.577 0.823
Yb 0.374 0.794 0.228
Yb 0.614 0.155 0.645
Ti 0.696 0.366 0.075
Ti 0.903 0.775 0.570
O 0.014 0.512 0.607
O 0.038 0.618 0.998
O 0.043 0.080 0.747
O 0.214 0.917 0.456
O 0.406 0.205 0.200
O 0.548 0.520 0.623
O 0.560 0.064 0.893
O 0.580 0.625 0.044
O 0.723 0.897 0.437
O 0.958 0.334 0.206